The following is a calculated powder diffractogram of CrI2. It was derived from a structure optimized by DFT (PBE), using copper Kα.
No peak broadening, texture or thermal motion is included.

Peak list (10 most intense, 10 to 90 degrees two-theta, in order of rising 2θ)
h k l	2theta	intensity
0 0 1	12.1	53
0 0 2	24.3	36
2 0 0	25.1	33
1 1 -1	26.2	69
2 0 -2	26.5	82
1 1 1	30.9	100
1 1 2	39.4	18
1 1 -3	40.6	46
3 1 -1	41.6	44
2 2 -2	53.9	29

Cell: 7.8579 3.9448 8.1005 Å, 90.00 115.33 90.00°
Space group C2/m (No. 12)
Symmetry-distinct sites (fractional):
Cr1 0.0000 0.0000 0.0000 [2 per cell]
I1 0.2235 0.5000 0.2231 [4 per cell]